Theoretical powder X-ray diffraction pattern of CrInO4 for CuKα, from a structure optimized by DFT (PBE+U).
Kinematic intensities with the Lorentz-polarization factor, no thermal factor.

Structural model:
Lattice parameters (Å, degrees): 4.970 4.727 5.978 90.00 90.00 90.00
Fractional positions:
Cr 0.000 0.000 0.000
Cr 0.000 0.500 0.500
In 0.500 0.000 0.622
In 0.500 0.500 0.122
O 0.153 0.240 0.189
O 0.153 0.260 0.689
O 0.293 0.695 0.417
O 0.293 0.805 0.917
O 0.707 0.195 0.917
O 0.707 0.305 0.417
O 0.847 0.740 0.689
O 0.847 0.760 0.189

Top 10 peaks for 10° ≤ 2θ ≤ 90°, most intense first:
| index | 2θ (°) | I/Imax |
| --- | --- | --- |
| 1 1 1 | 30.07 | 1000 |
| 0 1 1 | 24.00 | 261 |
| 1 2 2 | 52.70 | 169 |
| 0 0 2 | 29.89 | 147 |
| 2 2 0 | 53.51 | 144 |
| 1 0 2 | 35.03 | 132 |
| 3 1 1 | 61.29 | 124 |
| 0 1 3 | 49.65 | 122 |
| 1 3 1 | 63.91 | 107 |
| 2 0 2 | 47.59 | 107 |